La2CuWC3: theoretical powder X-ray diffraction pattern (a wavelength of 1.5418 Å), based on a GGA-PBE-relaxed structure.
Lines closer than 0.1° are merged.

Principal peaks in the range 2θ = 10–80°, sorted by position:
| d (Å) | 2theta | intensity | h k l |
| --- | --- | --- | --- |
| 3.376 | 26.40 | 31 | 1 1 0 |
| 3.202 | 27.87 | 33 | 2 0 -2 |
| 3.141 | 28.41 | 31 | 1 1 -1 |
| 2.923 | 30.58 | 72 | 2 0 1 |
| 2.817 | 31.76 | 27 | 4 0 -1 |
| 2.658 | 33.72 | 33 | 1 1 1 |
| 2.605 | 34.42 | 100 | 3 1 -1 |
| 2.342 | 38.44 | 64 | 1 1 -2 |

Lattice parameters (Å, degrees): 11.325 3.605 6.410 90.00 121.79 90.00
Atoms (fractional coordinates):
La 0.000 0.000 0.000
La 0.157 0.000 0.686
La 0.500 0.500 0.000
La 0.657 0.500 0.686
Cu 0.406 0.000 0.257
Cu 0.906 0.500 0.257
W 0.292 0.500 0.400
W 0.792 0.000 0.400
C 0.107 0.500 0.353
C 0.291 0.500 0.084
C 0.386 0.000 0.588
C 0.607 0.000 0.353
C 0.791 0.000 0.084
C 0.886 0.500 0.588


Lu4CuNiC2: theoretical powder X-ray diffraction pattern (a wavelength of 1.5418 Å), based on a GGA-PBE-relaxed structure.
Lines closer than 0.1° are merged.

Principal peaks in the range 2θ = 10–80°, sorted by position:
| d (Å) | 2theta | intensity | h k l |
| --- | --- | --- | --- |
| 3.288 | 27.12 | 11 | 0 0 4 |
| 3.070 | 29.09 | 28 | 1 0 0 |
| 2.989 | 29.89 | 18 | 1 0 1 |
| 2.514 | 35.71 | 100 | 1 0 3 |
| 2.192 | 41.18 | 11 | 0 0 6 |
| 1.772 | 51.57 | 27 | 1 1 0 |
| 1.449 | 64.30 | 20 | 2 0 3 |
| 1.378 | 68.03 | 15 | 1 1 6 |

Lattice parameters (Å, degrees): 3.544 3.544 13.152 90.00 90.00 120.00
Atoms (fractional coordinates):
Lu 0.000 0.000 0.144
Lu 0.000 0.000 0.856
Lu 0.333 0.667 0.343
Lu 0.333 0.667 0.657
Cu 0.000 0.000 0.500
Ni 0.333 0.667 0.000
C 0.667 0.333 0.248
C 0.667 0.333 0.752


Lu4CuNiC2: theoretical powder X-ray diffraction pattern (a wavelength of 1.5418 Å), based on a GGA-PBE-relaxed structure.
Lines closer than 0.1° are merged.

Principal peaks in the range 2θ = 10–80°, sorted by position:
| d (Å) | 2theta | intensity | h k l |
| --- | --- | --- | --- |
| 3.275 | 27.23 | 11 | 0 0 4 |
| 3.065 | 29.13 | 28 | 1 0 0 |
| 2.985 | 29.94 | 19 | 1 0 1 |
| 2.509 | 35.79 | 100 | 1 0 3 |
| 2.183 | 41.36 | 11 | 0 0 6 |
| 1.770 | 51.65 | 27 | 1 1 0 |
| 1.446 | 64.44 | 20 | 2 0 3 |
| 1.375 | 68.22 | 14 | 1 1 6 |

Lattice parameters (Å, degrees): 3.540 3.540 13.099 90.00 90.00 120.00
Atoms (fractional coordinates):
Lu 0.000 0.000 0.144
Lu 0.000 0.000 0.856
Lu 0.667 0.333 0.343
Lu 0.667 0.333 0.657
Cu 0.000 0.000 0.500
Ni 0.667 0.333 0.000
C 0.333 0.667 0.248
C 0.333 0.667 0.752